The following is a theoretical XRD peak list of Ti4FeCoS8. It was derived from a structure optimized by DFT (PBE), using Cu Ka.
Lines closer than 0.1° are merged.

Crystal structure
```
14
Lattice="5.797 0.000 0.000 2.885 5.803 0.000 0.002 1.959 6.458" Properties=species:S:1:pos:R:3 pbc="T T T"
Ti 1.403 0.788 2.408
Ti 1.405 1.771 5.624
Ti 7.278 5.992 0.833
Ti 7.281 6.975 4.050
Fe 4.341 2.902 0.000
Co 4.342 3.881 3.229
S 2.427 5.107 2.854
S 2.435 6.077 6.084
S 3.398 2.133 1.975
S 3.407 3.136 5.237
S 5.276 4.626 1.221
S 5.285 5.630 4.482
S 6.248 1.686 0.373
S 6.256 2.655 3.604
```

Peak list (12 most intense, 2θ = 10–90°, low angle first)
2θ = 17.26°, rel. 49, hkl 1 1 0; 2θ = 27.63°, rel. 15, hkl 0 1 2; 2θ = 30.66°, rel. 26, hkl 1 0 -2; 2θ = 30.85°, rel. 12, hkl 2 1 0; 2θ = 34.73°, rel. 66, hkl -1 1 2; 2θ = 34.96°, rel. 27, hkl 2 2 0; 2θ = 45.09°, rel. 100, hkl 1 3 2; 2θ = 45.16°, rel. 30, hkl 2 -1 0; 2θ = 45.29°, rel. 19, hkl 2 3 0; 2θ = 54.38°, rel. 23, hkl 0 1 4; 2θ = 54.74°, rel. 45, hkl 3 2 2; 2θ = 73.29°, rel. 13, hkl -2 2 4